Entry 1:
Structure and computed powder diffraction line list of ReIrSe4 (the PBE geometry in Alexandria; Cu Kα (λ = 1.5418 Å)).
Neutral-atom scattering factors, no anomalous dispersion.

Atomic structure:
Cell lengths 13.0580, 3.6756, 5.8600 Å; angles 90.00, 101.35, 90.00 degrees
Space group Cm (No. 8)
Asymmetric unit:
Re 0.0000 0.0000 0.0000
Ir 0.4969 0.0000 0.5952
Se 0.0951 0.0000 0.4412
Se 0.1277 0.5000 0.9658
Se 0.3663 0.5000 0.6543
Se 0.4037 0.0000 0.1732

Peak list (10 most intense, 2θ = 10–90°, low angle first)
| two_theta | d [Å] | Rel. int. | (hkl) |
| --- | --- | --- | --- |
| 13.83 | 6.401 | 100 | 2 0 0 |
| 28.94 | 3.085 | 17 | 1 1 -1 |
| 31.13 | 2.873 | 12 | 0 0 2 |
| 33.92 | 2.643 | 55 | 3 1 -1 |
| 36.72 | 2.447 | 20 | 2 0 2 |
| 37.67 | 2.388 | 12 | 3 1 1 |
| 43.41 | 2.085 | 16 | 5 1 -1 |
| 48.48 | 1.878 | 18 | 5 1 1 |
| 49.60 | 1.838 | 11 | 0 2 0 |
| 53.15 | 1.723 | 10 | 1 1 -3 |

***

Entry 2:
Structure and computed powder diffraction line list of BiAs (the PBE geometry in Alexandria; Cu Kα (λ = 1.5418 Å)).
Neutral-atom scattering factors, no anomalous dispersion.

Atomic structure:
Cell lengths 6.0224, 6.0367, 12.1452 Å; angles 90.00, 90.00, 90.00 degrees
Space group P2_12_12_1 (No. 19)
Asymmetric unit:
Bi 0.2466 0.0036 0.0116
Bi 0.2496 0.4867 0.7393
As 0.2495 0.5008 0.4979
As 0.2504 0.0022 0.7525

Peak list (10 most intense, 2θ = 10–90°, low angle first)
| two_theta | d [Å] | Rel. int. | (hkl) |
| --- | --- | --- | --- |
| 25.53 | 3.489 | 56 | 1 1 2 |
| 29.42 | 3.036 | 48 | 0 0 4 |
| 29.63 | 3.015 | 100 | 2 0 0 |
| 42.24 | 2.139 | 73 | 2 0 4 |
| 42.40 | 2.132 | 38 | 2 2 0 |
| 50.15 | 1.819 | 19 | 3 1 2 |
| 52.45 | 1.745 | 39 | 2 2 4 |
| 69.30 | 1.356 | 14 | 2 0 8 |
| 69.70 | 1.349 | 17 | 2 4 0 |
| 77.51 | 1.232 | 13 | 4 2 4 |

***

Entry 3:
Structure and computed powder diffraction line list of Ac3Ce2PaP6 (the PBE geometry in Alexandria; Cu Kα (λ = 1.5418 Å)).
Neutral-atom scattering factors, no anomalous dispersion.

Atomic structure:
Cell lengths 7.3189, 12.6721, 7.3848 Å; angles 90.00, 109.27, 90.00 degrees
Space group C2/m (No. 12)
Asymmetric unit:
Ac 0.0000 0.0000 0.0000
Ac 0.0000 0.3313 0.0000
Ce 0.0000 0.1662 0.5000
Pa 0.0000 0.5000 0.5000
P 0.2357 0.3381 0.7219
P 0.2489 0.5000 0.2767

Peak list (10 most intense, 2θ = 10–90°, low angle first)
| two_theta | d [Å] | Rel. int. | (hkl) |
| --- | --- | --- | --- |
| 25.56 | 3.485 | 26 | 0 0 2 |
| 25.80 | 3.453 | 75 | 2 0 0 |
| 29.81 | 2.998 | 100 | 1 3 1 |
| 42.50 | 2.127 | 37 | 2 0 2 |
| 42.81 | 2.112 | 38 | 0 6 0 |
| 50.25 | 1.816 | 14 | 1 3 3 |
| 50.52 | 1.807 | 26 | 3 3 1 |
| 53.03 | 1.727 | 20 | 4 0 0 |
| 69.99 | 1.344 | 17 | 3 3 3 |
| 70.43 | 1.337 | 17 | 4 6 0 |